Record 1
Ce2Sb3Rh4: computed powder XRD pattern (copper Kα), based on DFT lattice parameters and positions (PBE).
Intensities are scaled so that the largest is 100.

Largest 8 diffraction maxima, in order of rising 2θ, 2θ from 10° to 80°:
| Position (°2θ) | I (rel.) |
| --- | --- |
| 33.4 | 43 |
| 34.3 | 100 |
| 39.6 | 37 |
| 40.8 | 19 |
| 42.2 | 67 |
| 54.8 | 21 |
| 61.2 | 22 |
| 72.0 | 22 |

Structure:
```
Ce2Sb3Rh4
1.0
4.2858 0.0000 0.0000
0.0000 4.2858 0.0000
0.0000 0.0000 10.3180
Ce Sb Rh
2 3 4
Direct
0.0000 0.0000 0.0000 Ce
0.5000 0.5000 0.4510 Ce
0.0000 0.0000 0.3301 Sb
0.0000 0.0000 0.6055 Sb
0.5000 0.5000 0.9038 Sb
0.0000 0.5000 0.1760 Rh
0.0000 0.5000 0.7532 Rh
0.5000 0.0000 0.1760 Rh
0.5000 0.0000 0.7532 Rh
```


Record 2
SiO2: computed powder XRD pattern (copper Kα), based on DFT lattice parameters and positions (PBE).
Intensities are scaled so that the largest is 100.

Largest 8 diffraction maxima, in order of rising 2θ, 2θ from 10° to 80°:
| Position (°2θ) | I (rel.) |
| --- | --- |
| 12.5 | 45 |
| 16.0 | 17 |
| 19.9 | 100 |
| 20.1 | 17 |
| 23.7 | 98 |
| 24.2 | 59 |
| 25.2 | 45 |
| 34.6 | 18 |

Structure:
```
SiO2
1.0
7.0689 -8.8470 0.0000
7.0689 8.8470 0.0000
0.0000 0.0000 5.1840
Si O
12 24
Direct
0.0832 0.5052 0.0431 Si
0.1212 0.8788 0.5000 Si
0.1567 0.2534 0.0490 Si
0.2253 0.7747 0.9999 Si
0.2534 0.1567 0.5490 Si
0.4948 0.9168 0.0431 Si
0.5052 0.0832 0.5431 Si
0.7466 0.8433 0.0490 Si
0.7747 0.2253 0.4999 Si
0.8433 0.7466 0.5490 Si
0.8788 0.1212 0.0000 Si
0.9168 0.4948 0.5431 Si
0.0177 0.4917 0.3229 O
0.0243 0.1615 0.0355 O
0.1471 0.3922 0.9967 O
0.1573 0.8427 0.2114 O
0.1615 0.0243 0.5355 O
0.1870 0.6291 0.0351 O
0.1889 0.8111 0.7119 O
0.2150 0.2451 0.3327 O
0.2451 0.2150 0.8327 O
0.3709 0.8130 0.0351 O
0.3922 0.1471 0.4967 O
0.4917 0.0177 0.8229 O
0.5083 0.9823 0.3229 O
0.6078 0.8529 0.9967 O
0.6291 0.1870 0.5351 O
0.7549 0.7850 0.3327 O
0.7850 0.7549 0.8327 O
0.8111 0.1889 0.2119 O
0.8130 0.3709 0.5351 O
0.8385 0.9757 0.0355 O
0.8427 0.1573 0.7114 O
0.8529 0.6078 0.4967 O
0.9757 0.8385 0.5355 O
0.9823 0.5083 0.8229 O
```


Record 3
NdC3O10: computed powder XRD pattern (copper Kα), based on DFT lattice parameters and positions (PBE).
Intensities are scaled so that the largest is 100.

Largest 8 diffraction maxima, in order of rising 2θ, 2θ from 10° to 80°:
| Position (°2θ) | I (rel.) |
| --- | --- |
| 12.3 | 67 |
| 13.3 | 89 |
| 13.9 | 100 |
| 18.4 | 85 |
| 18.6 | 63 |
| 21.4 | 73 |
| 24.8 | 52 |
| 32.6 | 57 |

Structure:
```
NdC3O10
1.0
11.6846 0.0000 0.0000
0.0000 9.4888 0.0000
-3.1840 0.0000 9.3068
Nd C O
4 12 40
Direct
0.1428 0.0788 0.3151 Nd
0.1428 0.4212 0.8151 Nd
0.8572 0.5788 0.1849 Nd
0.8572 0.9212 0.6849 Nd
0.0320 0.5735 0.5119 C
0.0320 0.9265 0.0119 C
0.1339 0.0820 0.6720 C
0.1339 0.4180 0.1720 C
0.4823 0.6029 0.8626 C
0.4823 0.8971 0.3626 C
0.5177 0.1029 0.6374 C
0.5177 0.3971 0.1374 C
0.8661 0.5820 0.8280 C
0.8661 0.9180 0.3280 C
0.9680 0.0735 0.9881 C
0.9680 0.4265 0.4881 C
0.0012 0.1604 0.0905 O
0.0012 0.3396 0.5905 O
0.0557 0.0060 0.6980 O
0.0557 0.4940 0.1980 O
0.1122 0.5946 0.6330 O
0.1122 0.9054 0.1330 O
0.1691 0.0843 0.5645 O
0.1691 0.4157 0.0645 O
0.1897 0.1719 0.7888 O
0.1897 0.3281 0.2888 O
0.2701 0.7051 0.0039 O
0.2701 0.7949 0.5039 O
0.2759 0.2256 0.2627 O
0.2759 0.2744 0.7627 O
0.3723 0.6956 0.0924 O
0.3723 0.8044 0.5924 O
0.3812 0.5762 0.7961 O
0.3812 0.9238 0.2961 O
0.4173 0.1288 0.5695 O
0.4173 0.3712 0.0695 O
0.5827 0.6288 0.9305 O
0.5827 0.8712 0.4305 O
0.6188 0.0762 0.7039 O
0.6188 0.4238 0.2039 O
0.6277 0.1956 0.4076 O
0.6277 0.3044 0.9076 O
0.7241 0.7256 0.2373 O
0.7241 0.7744 0.7373 O
0.7299 0.2051 0.4961 O
0.7299 0.2949 0.9961 O
0.8103 0.6719 0.7112 O
0.8103 0.8281 0.2112 O
0.8309 0.5843 0.9355 O
0.8309 0.9157 0.4355 O
0.8878 0.0946 0.8670 O
0.8878 0.4054 0.3670 O
0.9443 0.5060 0.8020 O
0.9443 0.9940 0.3020 O
0.9988 0.6604 0.4095 O
0.9988 0.8396 0.9095 O
```


Record 4
KZnBr3O2: computed powder XRD pattern (copper Kα), based on DFT lattice parameters and positions (PBE).
Intensities are scaled so that the largest is 100.

Largest 8 diffraction maxima, in order of rising 2θ, 2θ from 10° to 80°:
| Position (°2θ) | I (rel.) |
| --- | --- |
| 12.1 | 54 |
| 13.1 | 68 |
| 16.0 | 29 |
| 21.4 | 94 |
| 23.2 | 34 |
| 26.6 | 55 |
| 27.9 | 34 |
| 28.3 | 100 |

Structure:
```
KZnBr3O2
1.0
7.0705 0.0000 0.0000
0.0000 14.6003 0.0000
-2.5226 0.0000 8.4441
K Zn Br O
4 4 12 8
Direct
0.2287 0.1864 0.0342 K
0.2287 0.3136 0.5342 K
0.7713 0.6864 0.4658 K
0.7713 0.8136 0.9658 K
0.0148 0.0532 0.3422 Zn
0.0148 0.4468 0.8422 Zn
0.9852 0.5532 0.1578 Zn
0.9852 0.9468 0.6578 Zn
0.1712 0.6686 0.8798 Br
0.1712 0.8314 0.3798 Br
0.2301 0.5501 0.4029 Br
0.2301 0.9499 0.9029 Br
0.3487 0.1070 0.3904 Br
0.3487 0.3930 0.8904 Br
0.6513 0.6070 0.1096 Br
0.6513 0.8930 0.6096 Br
0.7699 0.0501 0.0971 Br
0.7699 0.4499 0.5971 Br
0.8288 0.1686 0.6202 Br
0.8288 0.3314 0.1202 Br
0.0152 0.2354 0.7369 O
0.0152 0.2646 0.2369 O
0.0504 0.5755 0.9490 O
0.0504 0.9245 0.4490 O
0.9496 0.0755 0.5510 O
0.9496 0.4245 0.0510 O
0.9848 0.7354 0.7631 O
0.9848 0.7646 0.2631 O
```


What did the fourth record say?
KZnBr3O2: computed powder XRD pattern (copper Kα), based on DFT lattice parameters and positions (PBE).
Intensities are scaled so that the largest is 100.

Largest 8 diffraction maxima, in order of rising 2θ, 2θ from 10° to 80°:
| Position (°2θ) | I (rel.) |
| --- | --- |
| 12.1 | 54 |
| 13.1 | 68 |
| 16.0 | 29 |
| 21.4 | 94 |
| 23.2 | 34 |
| 26.6 | 55 |
| 27.9 | 34 |
| 28.3 | 100 |

Structure:
```
KZnBr3O2
1.0
7.0705 0.0000 0.0000
0.0000 14.6003 0.0000
-2.5226 0.0000 8.4441
K Zn Br O
4 4 12 8
Direct
0.2287 0.1864 0.0342 K
0.2287 0.3136 0.5342 K
0.7713 0.6864 0.4658 K
0.7713 0.8136 0.9658 K
0.0148 0.0532 0.3422 Zn
0.0148 0.4468 0.8422 Zn
0.9852 0.5532 0.1578 Zn
0.9852 0.9468 0.6578 Zn
0.1712 0.6686 0.8798 Br
0.1712 0.8314 0.3798 Br
0.2301 0.5501 0.4029 Br
0.2301 0.9499 0.9029 Br
0.3487 0.1070 0.3904 Br
0.3487 0.3930 0.8904 Br
0.6513 0.6070 0.1096 Br
0.6513 0.8930 0.6096 Br
0.7699 0.0501 0.0971 Br
0.7699 0.4499 0.5971 Br
0.8288 0.1686 0.6202 Br
0.8288 0.3314 0.1202 Br
0.0152 0.2354 0.7369 O
0.0152 0.2646 0.2369 O
0.0504 0.5755 0.9490 O
0.0504 0.9245 0.4490 O
0.9496 0.0755 0.5510 O
0.9496 0.4245 0.0510 O
0.9848 0.7354 0.7631 O
0.9848 0.7646 0.2631 O
```